For MnSe2, a cell relaxed with GGA-PBE gives the theoretical XRD peak list in this record (Cu Kα, 1.54184 Å).
No peak broadening, texture or thermal motion is included.

The 12 most intense peaks (2θ = 10–80°), by angle:
d/Å	I_rel	index
6.844	100	0 0 2
3.422	14	0 0 4
2.946	20	0 2 1
2.762	85	1 1 2
2.517	55	0 2 3
2.263	32	0 2 4
2.028	34	1 1 5
1.820	21	0 2 6
1.743	13	2 0 0
1.728	36	1 3 1
1.641	12	0 2 7
1.433	14	2 2 3

Crystal structure
```
data_MnSe2
_chemical_formula_sum 'Mn4 Se8'
_cell_length_a 3.4862
_cell_length_b 6.0333
_cell_length_c 13.6889
_cell_angle_alpha 90.00
_cell_angle_beta 90.00
_cell_angle_gamma 90.00
_space_group_name_H-M_alt 'C m c e'
_space_group_IT_number 64
_space_group_name_Hall '-C 2ac 2'
loop_
_atom_site_label
_atom_site_fract_x
_atom_site_fract_y
_atom_site_fract_z
Mn1 0.0000 0.0000 0.0000
Se1 0.0000 0.1666 0.3949
```